1.
For Sm2O, a PBE-relaxed structure gives the computed powder diffraction line list in this record (Cu Kα X-rays).

Cell: 6.4805 6.4805 6.4805 Å, 135.48 135.48 64.78°
Fractional coordinates of all 6 atoms:
Sm  0.1097  0.3597  0.7500
Sm  0.3597  0.1097  0.2500
Sm  0.6403  0.8903  0.7500
Sm  0.8903  0.6403  0.2500
O  0.1250  0.8750  0.2500
O  0.8750  0.1250  0.7500

Peak list (8 most intense, 15° ≤ 2θ ≤ 90°, sorted by position)
2θ = 30.50°, d 2.931, I = 100; 2θ = 32.73°, d 2.736, I = 23; 2θ = 36.61°, d 2.455, I = 39; 2θ = 49.91°, d 1.827, I = 28; 2θ = 52.74°, d 1.736, I = 13; 2θ = 57.03°, d 1.615, I = 12; 2θ = 62.15°, d 1.493, I = 27; 2θ = 63.47°, d 1.466, I = 13


2.
For Sm2O, a PBE-relaxed structure gives the computed powder diffraction line list in this record (Cu Kα X-rays).

Cell: 3.5512 3.5512 4.9817 Å, 90.00 90.00 90.00°
Fractional coordinates of all 3 atoms:
Sm  0.0000  0.0000  0.0000
Sm  0.5000  0.5000  0.5000
O  0.0000  0.0000  0.5000

Peak list (8 most intense, 15° ≤ 2θ ≤ 90°, sorted by position)
2θ = 30.92°, d 2.892, I = 100; 2θ = 35.76°, d 2.511, I = 43; 2θ = 36.06°, d 2.491, I = 21; 2θ = 51.47°, d 1.776, I = 15; 2θ = 51.69°, d 1.768, I = 29; 2θ = 61.26°, d 1.513, I = 29; 2θ = 61.66°, d 1.504, I = 14; 2θ = 64.44°, d 1.446, I = 15


3.
For SmTi4SnO12, a PBE-relaxed structure gives the computed powder diffraction line list in this record (Cu Kα X-rays).

Cell: 7.7892 5.3553 5.3553 Å, 90.10 90.00 90.00°
Fractional coordinates of all 18 atoms:
Sm  0.0000  0.0000  0.0000
Ti  0.2466  0.4787  0.9779
Ti  0.2466  0.9779  0.4787
Ti  0.7534  0.4787  0.9779
Ti  0.7534  0.9779  0.4787
Sn  0.5000  0.4557  0.4557
O  0.0000  0.5266  0.9281
O  0.0000  0.9281  0.5266
O  0.2060  0.2565  0.2565
O  0.2364  0.1729  0.7760
O  0.2364  0.7760  0.1729
O  0.3192  0.6497  0.6497
O  0.5000  0.0793  0.4696
O  0.5000  0.4696  0.0793
O  0.6808  0.6497  0.6497
O  0.7635  0.1729  0.7760
O  0.7635  0.7760  0.1729
O  0.7940  0.2565  0.2565

Peak list (8 most intense, 15° ≤ 2θ ≤ 90°, sorted by position)
2θ = 20.12°, d 4.413, I = 100; 2θ = 32.99°, d 2.715, I = 56; 2θ = 33.47°, d 2.678, I = 29; 2θ = 38.53°, d 2.336, I = 17; 2θ = 39.36°, d 2.289, I = 30; 2θ = 48.05°, d 1.893, I = 19; 2θ = 51.94°, d 1.760, I = 14; 2θ = 59.52°, d 1.553, I = 25


4.
For SmTaO4, a PBE-relaxed structure gives the computed powder diffraction line list in this record (Cu Kα X-rays).

Cell: 7.6727 5.4578 7.7138 Å, 90.00 99.62 90.00°
Fractional coordinates of all 24 atoms:
Sm  0.1480  0.2210  0.3956
Sm  0.1480  0.2790  0.8956
Sm  0.8520  0.7210  0.1044
Sm  0.8520  0.7790  0.6044
Ta  0.3344  0.7329  0.1949
Ta  0.3344  0.7671  0.6949
Ta  0.6656  0.2329  0.3051
Ta  0.6656  0.2671  0.8051
O  0.1140  0.5143  0.1720
O  0.1140  0.9857  0.6720
O  0.1712  0.5018  0.6264
O  0.1712  0.9982  0.1264
O  0.3279  0.6424  0.9424
O  0.3279  0.8576  0.4424
O  0.4404  0.0940  0.8011
O  0.4404  0.4060  0.3011
O  0.5596  0.5940  0.6989
O  0.5596  0.9060  0.1989
O  0.6721  0.1424  0.5576
O  0.6721  0.3576  0.0576
O  0.8288  0.0018  0.8736
O  0.8288  0.4982  0.3736
O  0.8860  0.0143  0.3280
O  0.8860  0.4857  0.8280

Peak list (8 most intense, 15° ≤ 2θ ≤ 90°, sorted by position)
2θ = 28.61°, d 3.120, I = 73; 2θ = 28.72°, d 3.109, I = 100; 2θ = 29.44°, d 3.034, I = 30; 2θ = 32.82°, d 2.729, I = 30; 2θ = 34.67°, d 2.587, I = 17; 2θ = 36.19°, d 2.482, I = 17; 2θ = 49.65°, d 1.836, I = 24; 2θ = 56.07°, d 1.640, I = 22